[1]
The following is a computed powder diffraction line list of Y4HoCd. It was derived from DFT lattice parameters and positions (GGA-PBE), using Cu Kα X-rays.
No peak broadening, texture or thermal motion is included.

Structural model:
```
Y4HoCd
1.0
4.3793 -7.0658 0.0000
4.3793 7.0658 0.0000
-2.0910 0.0000 5.9847
Y Ho Cd
8 2 2
direct
0.0916 0.7108 0.9562
0.1660 0.4024 0.6242
0.2892 0.9084 0.5438
0.4024 0.1660 0.1242
0.5976 0.8340 0.8758
0.7108 0.0916 0.4562
0.8340 0.5976 0.3758
0.9084 0.2892 0.0438
0.4077 0.5923 0.2500
0.5923 0.4077 0.7500
0.0002 0.9998 0.2500
0.9998 0.0002 0.7500
```

Principal peaks in the range 10° ≤ 2θ ≤ 90°, in order of rising 2θ:
| 2θ/deg | intensity |
| --- | --- |
| 28.36 | 50.7 |
| 28.88 | 25.4 |
| 31.58 | 61.3 |
| 32.49 | 33.8 |
| 32.67 | 75.5 |
| 33.14 | 31.7 |
| 33.51 | 100.0 |
| 34.11 | 59.0 |

=====

[2]
The following is a computed powder diffraction line list of Y4Ho5Cd. It was derived from DFT lattice parameters and positions (GGA-PBE), using Cu Kα X-rays.
No peak broadening, texture or thermal motion is included.

Structural model:
```
Y4Ho5Cd
1.0
3.5565 0.0000 0.0000
0.0000 3.5565 0.0000
0.0000 0.0000 24.1746
Y Ho Cd
4 5 1
direct
0.0000 0.0000 0.1038
0.0000 0.0000 0.3113
0.0000 0.0000 0.6887
0.0000 0.0000 0.8962
0.5000 0.5000 0.0000
0.5000 0.5000 0.2077
0.5000 0.5000 0.4149
0.5000 0.5000 0.5851
0.5000 0.5000 0.7923
0.0000 0.0000 0.5000
```

Principal peaks in the range 10° ≤ 2θ ≤ 90°, in order of rising 2θ:
| 2θ/deg | intensity |
| --- | --- |
| 25.04 | 6.2 |
| 31.22 | 100.0 |
| 35.70 | 38.1 |
| 37.19 | 11.8 |
| 51.38 | 13.4 |
| 52.51 | 17.3 |
| 61.36 | 28.5 |
| 65.12 | 9.0 |